Record 1
Starting from DFT lattice parameters and positions (GGA+U), the powder XRD pattern of LuFeO3 was calculated for λ = 1.5418 Å (Cu Kα).

Structural model:
```
LuFeO3
1.0
6.0302 0.0000 0.0000
-3.0151 5.2223 0.0000
0.0000 0.0000 11.7414
Lu Fe O
6 6 18
Direct
0.0000 0.0000 0.0000
0.0000 0.0000 0.5000
0.3333 0.6667 0.0433
0.3333 0.6667 0.5433
0.6667 0.3333 0.0433
0.6667 0.3333 0.5433
0.0000 0.3340 0.2753
0.0000 0.6660 0.7753
0.3340 0.0000 0.2753
0.3340 0.3340 0.7753
0.6660 0.0000 0.7753
0.6660 0.6660 0.2753
0.0000 0.0000 0.3015
0.0000 0.0000 0.8015
0.0000 0.3047 0.1084
0.0000 0.3619 0.4404
0.0000 0.6381 0.9404
0.0000 0.6953 0.6084
0.3047 0.0000 0.1084
0.3047 0.3047 0.6084
0.3333 0.6667 0.2531
0.3333 0.6667 0.7531
0.3619 0.0000 0.4404
0.3619 0.3619 0.9404
0.6381 0.0000 0.9404
0.6381 0.6381 0.4404
0.6667 0.3333 0.2531
0.6667 0.3333 0.7531
0.6953 0.0000 0.6084
0.6953 0.6953 0.1084
```

Largest 10 diffraction maxima, by intensity, 2θ from 10° to 90°:
two_theta, I (rel.)
33.41, 100
29.63, 47
15.09, 43
43.00, 34
52.57, 34
30.45, 30
61.99, 26
56.02, 19
30.61, 19
63.74, 17

Record 2
Starting from DFT lattice parameters and positions (GGA+U), the powder XRD pattern of LuFe2O4 was calculated for λ = 1.5418 Å (Cu Kα).

Structural model:
```
LuFe2O4
1.0
1.7354 1.0019 8.4559
-1.7354 1.0019 8.4559
0.0000 -2.0039 8.4559
Lu Fe O
1 2 4
Direct
0.0000 0.0000 0.0000
0.2143 0.2143 0.2143
0.7857 0.7857 0.7857
0.1284 0.1284 0.1284
0.2930 0.2930 0.2930
0.7070 0.7070 0.7070
0.8716 0.8716 0.8716
```

Largest 10 diffraction maxima, by intensity, 2θ from 10° to 90°:
two_theta, I (rel.)
29.93, 100
32.98, 89
34.69, 75
10.46, 72
52.75, 53
31.75, 48
46.86, 45
21.01, 40
62.89, 39
59.58, 31